[1]
Computed X-ray diffraction stick pattern
Compound: BaCO3
Radiation: CuKα
Structure: the GGA-PBE geometry in the Materials Project
Lines closer than 0.1° are merged.

Cell and atoms:
```
data_BaCO3
_chemical_formula_sum 'Ba4 C4 O12'
_symmetry_space_group_name_H-M 'C 1 2/m 1'
_symmetry_Int_Tables_number 12
_symmetry_space_group_name_Hall '-C 2y'
_cell_length_a 7.5242
_cell_length_b 5.3692
_cell_length_c 9.0615
_cell_angle_alpha 90.00
_cell_angle_beta 113.82
_cell_angle_gamma 90.00
loop_
_atom_site_label
_atom_site_type_symbol
_atom_site_fract_x
_atom_site_fract_y
_atom_site_fract_z
Ba1 Ba 0.0000 0.0000 0.0000
Ba2 Ba 0.0000 0.5000 0.5000
C1 C 0.2063 0.0000 0.7341
O1 O 0.2009 0.2099 0.8047
O2 O 0.2098 0.0000 0.5930
```

Most intense lines, 2θ = 5–70°, in order of rising 2θ:
| hkl | 2θ (°) | Rel. int. |
| --- | --- | --- |
| 1 1 -1 | 21.06 | 58 |
| 0 0 2 | 21.44 | 27 |
| 1 1 1 | 25.90 | 100 |
| 2 0 -2 | 26.13 | 42 |
| 1 1 -3 | 34.06 | 29 |
| 3 1 -1 | 40.00 | 53 |


[2]
Computed X-ray diffraction stick pattern
Compound: BaCO3
Radiation: CuKα
Structure: the GGA-PBE geometry in the Materials Project
Lines closer than 0.1° are merged.

Cell and atoms:
```
data_BaCO3
_chemical_formula_sum 'Ba2 C2 O6'
_symmetry_space_group_name_H-M 'P 63/m m c'
_symmetry_Int_Tables_number 194
_symmetry_space_group_name_Hall '-P 6c 2c'
_cell_length_a 5.5129
_cell_length_b 5.5129
_cell_length_c 5.6908
_cell_angle_alpha 90.00
_cell_angle_beta 90.00
_cell_angle_gamma 120.00
loop_
_atom_site_label
_atom_site_type_symbol
_atom_site_fract_x
_atom_site_fract_y
_atom_site_fract_z
Ba1 Ba 0.3333 0.6667 0.2500
C1 C 0.0000 0.0000 0.2500
O1 O 0.1368 0.2736 0.7500
```

Most intense lines, 2θ = 5–70°, in order of rising 2θ:
| hkl | 2θ (°) | Rel. int. |
| --- | --- | --- |
| 1 0 1 | 24.34 | 100 |
| 0 0 2 | 31.44 | 30 |
| 1 1 0 | 32.48 | 37 |
| 2 0 1 | 41.00 | 51 |
| 1 1 2 | 45.83 | 28 |
| 2 1 1 | 53.25 | 19 |